Ru5Au3: computed powder diffraction line list (Cu Kα (λ = 1.5418 Å)), based on the PBE geometry in Alexandria.
Lines closer than 0.1° are merged.

Structure:
```
data_Ru5Au3
_chemical_formula_sum 'Ru10 Au6'
_space_group_name_H-M_alt 'P -1'
_space_group_IT_number 2
_space_group_name_Hall '-P 1'
_cell_length_a 4.7367
_cell_length_b 7.7730
_cell_length_c 7.8170
_cell_angle_alpha 82.90
_cell_angle_beta 74.11
_cell_angle_gamma 75.58
loop_
_atom_site_label
_atom_site_type_symbol
_atom_site_fract_x
_atom_site_fract_y
_atom_site_fract_z
Ru1 Ru 0.0553 0.1889 0.2081
Ru2 Ru 0.2193 0.2443 0.8581
Ru3 Ru 0.2516 0.5455 0.9535
Ru4 Ru 0.2831 0.6400 0.2560
Ru5 Ru 0.4244 0.2916 0.3070
Au1 Au 0.2010 0.5134 0.6001
Au2 Au 0.2986 0.9008 0.9891
Au3 Au 0.3132 0.9192 0.4370
```

Main lines, sorted by position (2θ = 15–90°):
- (0 2 -2), 34.78 deg, I 73
- (1 3 0), 37.02 deg, I 33
- (-1 1 2), 38.08 deg, I 96
- (1 3 2), 40.09 deg, I 100
- (1 -1 3), 40.63 deg, I 99
- (2 0 2), 41.72 deg, I 49
- (0 2 3), 42.18 deg, I 57
- (2 2 0), 42.38 deg, I 45
- (1 -3 0), 45.41 deg, I 74
- (1 1 4), 47.22 deg, I 42